This entry pairs a crystal structure of K2In6IrPt with its computed XRD peak list. Radiation: CuKα. Structure: a structure optimized by DFT (PBE).

Largest 10 diffraction maxima, by intensity, 2θ = 10–80°:
d [Å], two_theta, I/Imax, index
5.279, 16.79, 100, 1 0 1
2.640, 33.96, 81, 2 0 2
5.226, 16.96, 58, 0 2 0
1.857, 49.05, 50, 2 4 2
2.613, 34.32, 42, 0 4 0
2.356, 38.20, 40, 3 0 1
2.342, 38.44, 33, 1 4 1
1.754, 52.14, 22, 1 4 3
2.367, 38.02, 20, 1 0 3
1.750, 52.29, 19, 3 4 1

abc: 7.444 10.453 7.489
angles: 90.00 90.00 90.00
Atoms (fractional coordinates):
K 0.250 0.053 0.250
K 0.250 0.447 0.250
K 0.750 0.553 0.750
K 0.750 0.947 0.750
In 0.040 0.750 0.038
In 0.041 0.750 0.462
In 0.250 0.501 0.750
In 0.250 0.999 0.750
In 0.459 0.750 0.462
In 0.460 0.750 0.038
In 0.540 0.250 0.962
In 0.541 0.250 0.538
In 0.750 0.001 0.250
In 0.750 0.499 0.250
In 0.959 0.250 0.538
In 0.960 0.250 0.962
Ir 0.250 0.750 0.751
Ir 0.750 0.250 0.249
Pt 0.250 0.250 0.749
Pt 0.750 0.750 0.251